[1]
The following is a computed powder XRD pattern of Gd2Cl3. It was derived from the GGA-PBE geometry in the Materials Project, using copper Kα.
No peak broadening, texture or thermal motion is included.

Atomic structure:
Cell: 3.918 7.881 9.727 Å, 69.67 78.44 75.73°
Space group P1 (No. 1)
Inequivalent atoms, fractional coordinates:
Gd 0.000 0.000 0.000 x1
Gd 0.172 0.532 0.108 x1
Gd 0.458 0.742 0.348 x1
Gd 0.724 0.786 0.758 x1
Cl 0.254 0.957 0.541 x1
Cl 0.361 0.111 0.170 x1
Cl 0.538 0.127 0.786 x1
Cl 0.632 0.400 0.322 x1
Cl 0.815 0.427 0.939 x1
Cl 0.922 0.565 0.568 x1

Top 10 peaks for 15 to 90 degrees two-theta, sorted by position:
hkl	2θ/deg	intensity
0 1 -1	17.92	270
0 2 2	26.25	442
1 0 -1	26.77	1000
1 0 2	28.87	472
1 2 0	30.73	220
1 0 -2	32.82	490
0 3 2	36.25	593
1 -2 0	37.63	466
1 3 4	45.34	295
2 1 1	46.34	229

[2]
The following is a computed powder XRD pattern of CsSc3F10. It was derived from the GGA-PBE geometry in the Materials Project, using copper Kα.
No peak broadening, texture or thermal motion is included.

Atomic structure:
Cell: 6.948 7.667 8.215 Å, 90.00 90.00 90.00°
Space group P222_1 (No. 17)
Inequivalent atoms, fractional coordinates:
Cs 0.009 0.000 0.000 x2
Sc 0.000 0.496 0.250 x2
Sc 0.500 0.226 0.250 x2
Sc 0.500 0.238 0.750 x2
F 0.013 0.500 0.500 x2
F 0.200 0.301 0.241 x4
F 0.202 0.312 0.761 x4
F 0.330 0.005 0.742 x4
F 0.499 0.226 0.500 x4
F 0.500 0.494 0.250 x2

Top 10 peaks for 15 to 90 degrees two-theta, sorted by position:
hkl	2θ/deg	intensity
0 1 2	24.59	436
1 0 2	25.19	472
2 0 0	25.64	525
1 2 0	26.56	1000
1 1 2	27.79	710
2 1 2	35.82	364
0 0 4	44.10	353
3 2 0	45.77	461
2 3 2	49.53	329
1 2 4	52.22	284

[3]
The following is a computed powder XRD pattern of Rb2NbAgS4. It was derived from the GGA-PBE geometry in the Materials Project, using copper Kα.
No peak broadening, texture or thermal motion is included.

Atomic structure:
Cell: 5.982 13.962 24.100 Å, 90.00 90.00 90.00°
Space group Fddd (No. 70, origin choice 2)
Inequivalent atoms, fractional coordinates:
Rb 0.125 0.125 0.304 x16
Nb 0.125 0.125 0.125 x8
Ag 0.125 0.125 0.625 x8
S 0.090 0.277 0.431 x32

Top 10 peaks for 15 to 90 degrees two-theta, sorted by position:
hkl	2θ/deg	intensity
0 2 6	25.57	1000
1 3 3	26.69	531
1 3 5	30.60	248
2 2 0	32.57	405
1 5 3	37.30	160
2 0 6	37.49	418
0 6 6	45.02	238
2 4 6	45.90	261
2 6 0	49.64	233
2 2 12	56.77	147

[4]
The following is a computed powder XRD pattern of Lu2InAg. It was derived from the GGA-PBE geometry in the Materials Project, using copper Kα.
No peak broadening, texture or thermal motion is included.

Atomic structure:
Cell: 7.284 7.284 7.284 Å, 90.00 90.00 90.00°
Space group Fm-3m (No. 225)
Inequivalent atoms, fractional coordinates:
Lu 0.250 0.250 0.250 x8
In 0.000 0.000 0.000 x4
Ag 0.000 0.000 0.500 x4

Top 10 peaks for 15 to 90 degrees two-theta, sorted by position:
hkl	2θ/deg	intensity
2 0 0	24.44	49
2 2 0	34.84	1000
2 2 2	43.01	16
4 0 0	50.09	177
4 2 0	56.50	23
4 2 2	62.46	362
4 4 0	73.55	112
6 0 0	78.84	12
6 2 0	84.03	159
6 2 2	89.18	7

[5]
The following is a computed powder XRD pattern of Dy3Al2Ni6H9. It was derived from the GGA-PBE geometry in the Materials Project, using copper Kα.
No peak broadening, texture or thermal motion is included.

Atomic structure:
Cell: 9.161 9.161 9.161 Å, 90.00 90.00 90.00°
Space group Im-3m (No. 229)
Inequivalent atoms, fractional coordinates:
Dy 0.000 0.000 0.270 x12
Al 0.250 0.250 0.250 x8
Ni 0.000 0.338 0.338 x24
H 0.000 0.000 0.000 x2
H 0.000 0.000 0.500 x6
H 0.000 0.250 0.500 x12
H 0.132 0.132 0.132 x16

Top 10 peaks for 15 to 90 degrees two-theta, sorted by position:
hkl	2θ/deg	intensity
2 1 1	23.79	146
2 2 0	27.54	196
3 1 0	30.86	298
2 2 2	33.90	434
3 2 1	36.70	480
4 0 0	39.34	268
3 3 0	41.83	1000
5 3 2	62.49	239
6 2 2	67.86	286
6 3 3	76.39	136

[6]
The following is a computed powder XRD pattern of AlHO2. It was derived from the GGA-PBE geometry in the Materials Project, using copper Kα.
No peak broadening, texture or thermal motion is included.

Atomic structure:
Cell: 4.186 4.734 2.863 Å, 90.00 90.00 90.00°
Space group Pnnm (No. 58)
Inequivalent atoms, fractional coordinates:
Al 0.000 0.000 0.000 x2
H 0.000 0.500 0.000 x2
O 0.239 0.355 0.000 x4

Top 10 peaks for 15 to 90 degrees two-theta, sorted by position:
hkl	2θ/deg	intensity
1 1 0	28.46	1000
1 0 1	38.07	878
1 1 1	42.77	676
1 2 0	43.94	458
1 2 1	54.90	388
2 1 1	57.95	806
2 2 0	58.90	249
0 0 2	65.18	219
0 3 1	67.81	335
1 1 2	72.60	145

[7]
The following is a computed powder XRD pattern of SbS. It was derived from the GGA-PBE geometry in the Materials Project, using copper Kα.
No peak broadening, texture or thermal motion is included.

Atomic structure:
Cell: 3.869 5.008 10.362 Å, 83.91 87.94 89.42°
Space group P-1 (No. 2)
Inequivalent atoms, fractional coordinates:
Sb 0.231 0.192 0.079 x2
S 0.261 0.425 0.862 x2

Top 10 peaks for 15 to 90 degrees two-theta, sorted by position:
hkl	2θ/deg	intensity
0 0 2	17.22	560
0 1 -2	26.18	648
1 1 0	29.15	618
1 -1 0	29.34	1000
1 1 1	29.64	958
-1 1 1	30.30	871
1 1 2	32.59	568
0 1 -3	33.23	541
-1 1 2	33.64	377
0 2 2	38.46	428

[8]
The following is a computed powder XRD pattern of La2InCuSe5. It was derived from the GGA-PBE geometry in the Materials Project, using copper Kα.
No peak broadening, texture or thermal motion is included.

Atomic structure:
Cell: 12.259 4.139 17.595 Å, 90.00 90.00 90.00°
Space group Pnma (No. 62)
Inequivalent atoms, fractional coordinates:
La 0.022 0.250 0.178 x4
La 0.137 0.750 0.593 x4
In 0.191 0.750 0.361 x4
Cu 0.076 0.750 0.998 x4
Se 0.016 0.250 0.695 x4
Se 0.101 0.250 0.923 x4
Se 0.107 0.250 0.463 x4
Se 0.182 0.750 0.114 x4
Se 0.240 0.750 0.771 x4

Top 10 peaks for 15 to 90 degrees two-theta, sorted by position:
hkl	2θ/deg	intensity
1 1 4	30.54	1000
4 0 2	30.90	429
3 1 2	32.43	349
1 1 5	34.23	183
4 1 0	36.48	271
2 1 5	36.58	210
4 1 4	42.04	198
0 2 0	43.73	527
5 1 2	44.15	231
6 0 4	49.20	224

[9]
The following is a computed powder XRD pattern of PtN2Cl4. It was derived from the GGA-PBE geometry in the Materials Project, using copper Kα.
No peak broadening, texture or thermal motion is included.

Atomic structure:
Cell: 4.898 4.898 12.601 Å, 90.00 90.00 90.00°
Space group P4_2/mnm (No. 136)
Inequivalent atoms, fractional coordinates:
Pt 0.000 0.000 0.000 x2
N 0.213 0.213 0.500 x4
Cl 0.242 0.242 0.130 x8

Top 10 peaks for 15 to 90 degrees two-theta, sorted by position:
hkl	2θ/deg	intensity
1 0 1	19.44	1000
1 1 0	25.72	267
1 0 3	27.98	368
1 1 2	29.43	379
1 1 4	38.64	184
2 0 2	39.48	146
1 0 5	40.24	146
2 1 1	41.86	292
2 1 3	46.77	236
2 0 4	47.00	260

[10]
The following is a computed powder XRD pattern of Al3Pt5. It was derived from the GGA-PBE geometry in the Materials Project, using copper Kα.
No peak broadening, texture or thermal motion is included.

Atomic structure:
Cell: 5.468 10.893 4.005 Å, 90.00 90.00 90.00°
Space group Pbam (No. 55)
Inequivalent atoms, fractional coordinates:
Al 0.000 0.000 0.000 x2
Al 0.181 0.360 0.500 x4
Pt 0.000 0.500 0.000 x2
Pt 0.071 0.769 0.000 x4
Pt 0.207 0.107 0.500 x4

Top 10 peaks for 15 to 90 degrees two-theta, sorted by position:
hkl	2θ/deg	intensity
1 2 0	23.05	331
1 3 0	29.53	236
1 2 1	32.21	484
2 0 1	39.93	747
0 4 1	40.04	1000
2 1 1	40.81	425
0 0 2	45.28	419
2 4 0	47.10	401
2 4 2	67.40	278
0 4 3	80.02	298

[11]
The following is a computed powder XRD pattern of Ga2CuCl8. It was derived from the GGA-PBE geometry in the Materials Project, using copper Kα.
No peak broadening, texture or thermal motion is included.

Atomic structure:
Cell: 6.911 7.740 12.772 Å, 90.00 95.76 90.00°
Space group P2_1/c (No. 14)
Inequivalent atoms, fractional coordinates:
Ga 0.191 0.239 0.183 x4
Cu 0.000 0.000 0.500 x2
Cl 0.107 0.734 0.910 x4
Cl 0.167 0.223 0.849 x4
Cl 0.290 0.012 0.606 x4
Cl 0.354 0.022 0.138 x4

Top 10 peaks for 15 to 90 degrees two-theta, sorted by position:
hkl	2θ/deg	intensity
1 1 0	17.25	836
1 0 -2	18.06	1000
1 1 -2	21.40	588
0 1 3	23.95	202
0 2 2	26.98	289
1 2 -2	29.36	369
2 0 2	30.79	325
1 2 -4	37.94	449
3 2 0	46.02	360
0 4 0	46.96	220